1.
The following is a simulated PXRD pattern of Mn3Ge. It was derived from DFT lattice parameters and positions (GGA-PBE), using a wavelength of 1.5418 Å.

The 10 most intense peaks (15 to 90 degrees two-theta), by intensity:
| d_spacing | 2theta | I/Imax |
| --- | --- | --- |
| 1.976 | 45.94 | 1000 |
| 2.089 | 43.31 | 268 |
| 2.242 | 40.22 | 249 |
| 1.100 | 88.95 | 177 |
| 1.183 | 81.33 | 167 |
| 1.294 | 73.11 | 149 |
| 1.528 | 60.58 | 137 |
| 3.057 | 29.21 | 32 |
| 1.121 | 86.90 | 23 |
| 2.589 | 34.65 | 10 |

Structure:
abc: 5.178 5.178 4.178
angles: 90.00 90.00 120.00
Positions (direct):
Mn 0.161 0.323 0.250
Mn 0.161 0.839 0.250
Mn 0.323 0.161 0.750
Mn 0.677 0.839 0.250
Mn 0.839 0.161 0.750
Mn 0.839 0.677 0.750
Ge 0.333 0.667 0.750
Ge 0.667 0.333 0.250

2.
The following is a simulated PXRD pattern of PdC2N2. It was derived from DFT lattice parameters and positions (GGA-PBE), using a wavelength of 1.5418 Å.

The 10 most intense peaks (15 to 90 degrees two-theta), by intensity:
| d_spacing | 2theta | I/Imax |
| --- | --- | --- |
| 4.331 | 20.51 | 1000 |
| 4.037 | 22.02 | 784 |
| 4.890 | 18.14 | 574 |
| 2.534 | 35.43 | 305 |
| 3.714 | 23.96 | 272 |
| 2.316 | 38.89 | 249 |
| 2.383 | 37.74 | 199 |
| 2.733 | 32.77 | 138 |
| 2.009 | 45.13 | 136 |
| 1.630 | 56.44 | 115 |

Structure:
abc: 5.132 5.132 16.148
angles: 90.00 90.00 90.83
Positions (direct):
Pd 0.131 0.869 0.876
Pd 0.369 0.631 0.376
Pd 0.631 0.369 0.624
Pd 0.869 0.131 0.124
C 0.009 0.363 0.624
C 0.137 0.491 0.876
C 0.363 0.009 0.376
C 0.491 0.137 0.124
C 0.509 0.863 0.876
C 0.637 0.991 0.624
C 0.863 0.509 0.124
C 0.991 0.637 0.376
N 0.137 0.264 0.876
N 0.236 0.363 0.624
N 0.264 0.137 0.124
N 0.363 0.236 0.376
N 0.637 0.764 0.624
N 0.736 0.863 0.876
N 0.764 0.637 0.376
N 0.863 0.736 0.124

3.
The following is a simulated PXRD pattern of Fe2P. It was derived from DFT lattice parameters and positions (GGA-PBE), using a wavelength of 1.5418 Å.

The 10 most intense peaks (15 to 90 degrees two-theta), by intensity:
| d_spacing | 2theta | I/Imax |
| --- | --- | --- |
| 2.184 | 41.33 | 1000 |
| 2.217 | 40.69 | 600 |
| 2.030 | 44.63 | 515 |
| 1.997 | 45.42 | 341 |
| 1.940 | 46.84 | 282 |
| 1.629 | 56.48 | 253 |
| 1.731 | 52.90 | 251 |
| 1.917 | 47.41 | 223 |
| 1.978 | 45.88 | 207 |
| 2.044 | 44.30 | 156 |

Structure:
abc: 6.732 6.732 6.732
angles: 122.10 82.68 126.58
Positions (direct):
Fe 0.000 0.000 0.000
Fe 0.043 0.543 0.500
Fe 0.157 0.068 0.652
Fe 0.157 0.506 0.089
Fe 0.365 0.074 0.292
Fe 0.417 0.068 0.911
Fe 0.417 0.506 0.348
Fe 0.447 0.647 0.799
Fe 0.680 0.397 0.717
Fe 0.680 0.963 0.283
Fe 0.782 0.074 0.708
Fe 0.848 0.647 0.201
P 0.084 0.187 0.435
P 0.084 0.649 0.896
P 0.396 0.896 0.500
P 0.475 0.475 0.000
P 0.753 0.187 0.104
P 0.753 0.649 0.565

4.
The following is a simulated PXRD pattern of MgSbS2NCl6. It was derived from DFT lattice parameters and positions (GGA-PBE), using a wavelength of 1.5418 Å.

The 10 most intense peaks (15 to 90 degrees two-theta), by intensity:
| d_spacing | 2theta | I/Imax |
| --- | --- | --- |
| 3.120 | 28.62 | 1000 |
| 3.844 | 23.14 | 536 |
| 5.869 | 15.10 | 503 |
| 1.931 | 47.06 | 452 |
| 4.384 | 20.26 | 395 |
| 2.809 | 31.86 | 395 |
| 5.086 | 17.44 | 331 |
| 2.469 | 36.39 | 260 |
| 3.587 | 24.82 | 255 |
| 1.792 | 50.95 | 235 |

Structure:
abc: 7.790 7.790 7.790
angles: 119.06 111.51 98.48
Positions (direct):
Mg 0.000 0.000 0.000
Sb 0.648 0.148 0.500
S 0.001 0.671 0.330
S 0.342 0.671 0.670
N 0.172 0.672 0.500
Cl 0.359 0.165 0.194
Cl 0.487 0.215 0.728
Cl 0.487 0.759 0.272
Cl 0.873 0.115 0.242
Cl 0.873 0.630 0.758
Cl 0.972 0.165 0.806

5.
The following is a simulated PXRD pattern of LuCo6Ge6. It was derived from DFT lattice parameters and positions (GGA-PBE), using a wavelength of 1.5418 Å.

The 10 most intense peaks (15 to 90 degrees two-theta), by intensity:
| d_spacing | 2theta | I/Imax |
| --- | --- | --- |
| 2.126 | 42.52 | 1000 |
| 2.530 | 35.49 | 714 |
| 2.191 | 41.21 | 554 |
| 2.246 | 40.16 | 418 |
| 1.913 | 47.54 | 395 |
| 1.265 | 75.11 | 343 |
| 1.162 | 83.16 | 262 |
| 1.961 | 46.29 | 242 |
| 1.369 | 68.56 | 233 |
| 1.818 | 50.17 | 219 |

Structure:
abc: 5.059 5.059 7.846
angles: 90.00 90.00 120.00
Positions (direct):
Lu 0.000 0.000 0.000
Co 0.000 0.500 0.250
Co 0.000 0.500 0.750
Co 0.500 0.000 0.250
Co 0.500 0.000 0.750
Co 0.500 0.500 0.250
Co 0.500 0.500 0.750
Ge 0.000 0.000 0.344
Ge 0.000 0.000 0.656
Ge 0.333 0.667 0.000
Ge 0.333 0.667 0.500
Ge 0.667 0.333 0.000
Ge 0.667 0.333 0.500

6.
The following is a simulated PXRD pattern of Rb2ScAgCl6. It was derived from DFT lattice parameters and positions (GGA-PBE), using a wavelength of 1.5418 Å.

The 10 most intense peaks (15 to 90 degrees two-theta), by intensity:
| d_spacing | 2theta | I/Imax |
| --- | --- | --- |
| 3.705 | 24.02 | 1000 |
| 2.620 | 34.22 | 877 |
| 1.853 | 49.18 | 571 |
| 2.139 | 42.25 | 441 |
| 3.025 | 29.53 | 321 |
| 1.172 | 82.29 | 235 |
| 1.400 | 66.80 | 230 |
| 1.657 | 55.45 | 208 |
| 1.513 | 61.28 | 186 |
| 1.235 | 77.24 | 109 |

Structure:
abc: 7.410 7.410 7.410
angles: 60.00 60.00 60.00
Positions (direct):
Rb 0.250 0.250 0.250
Rb 0.750 0.750 0.750
Sc 0.000 0.000 0.000
Ag 0.500 0.500 0.500
Cl 0.239 0.239 0.761
Cl 0.239 0.761 0.239
Cl 0.239 0.761 0.761
Cl 0.761 0.239 0.239
Cl 0.761 0.239 0.761
Cl 0.761 0.761 0.239

7.
The following is a simulated PXRD pattern of Rb2LuCuCl6. It was derived from DFT lattice parameters and positions (GGA-PBE), using a wavelength of 1.5418 Å.

The 10 most intense peaks (15 to 90 degrees two-theta), by intensity:
| d_spacing | 2theta | I/Imax |
| --- | --- | --- |
| 3.649 | 24.39 | 1000 |
| 2.580 | 34.77 | 683 |
| 2.107 | 42.93 | 459 |
| 1.825 | 49.99 | 458 |
| 1.379 | 67.96 | 236 |
| 5.161 | 17.18 | 208 |
| 1.632 | 56.38 | 207 |
| 1.154 | 83.83 | 199 |
| 1.490 | 62.33 | 153 |
| 3.112 | 28.69 | 121 |

Structure:
abc: 7.298 7.298 7.298
angles: 60.00 60.00 60.00
Positions (direct):
Rb 0.250 0.250 0.250
Rb 0.750 0.750 0.750
Lu 0.000 0.000 0.000
Cu 0.500 0.500 0.500
Cl 0.251 0.251 0.749
Cl 0.251 0.749 0.251
Cl 0.251 0.749 0.749
Cl 0.749 0.251 0.251
Cl 0.749 0.251 0.749
Cl 0.749 0.749 0.251

8.
The following is a simulated PXRD pattern of K4H6C2O9. It was derived from DFT lattice parameters and positions (GGA-PBE), using a wavelength of 1.5418 Å.

The 10 most intense peaks (15 to 90 degrees two-theta), by intensity:
| d_spacing | 2theta | I/Imax |
| --- | --- | --- |
| 2.778 | 32.22 | 1000 |
| 2.792 | 32.06 | 803 |
| 2.831 | 31.61 | 747 |
| 2.216 | 40.71 | 362 |
| 3.027 | 29.51 | 323 |
| 3.467 | 25.70 | 301 |
| 2.286 | 39.42 | 291 |
| 3.040 | 29.38 | 225 |
| 2.351 | 38.29 | 216 |
| 2.193 | 41.17 | 173 |

Structure:
abc: 9.211 9.211 7.217
angles: 109.62 109.62 97.66
Positions (direct):
K 0.117 0.883 0.750
K 0.185 0.815 0.250
K 0.207 0.505 0.460
K 0.495 0.793 0.040
K 0.505 0.207 0.960
K 0.793 0.495 0.540
K 0.815 0.185 0.750
K 0.883 0.117 0.250
H 0.141 0.280 0.049
H 0.146 0.200 0.631
H 0.200 0.146 0.131
H 0.280 0.141 0.549
H 0.385 0.477 0.155
H 0.477 0.385 0.655
H 0.523 0.615 0.345
H 0.615 0.523 0.845
H 0.720 0.859 0.451
H 0.800 0.854 0.869
H 0.854 0.800 0.369
H 0.859 0.720 0.951
C 0.137 0.476 0.850
C 0.476 0.137 0.350
C 0.524 0.863 0.650
C 0.863 0.524 0.150
O 0.054 0.351 0.667
O 0.106 0.189 0.086
O 0.169 0.618 0.852
O 0.186 0.457 0.030
O 0.189 0.106 0.586
O 0.351 0.054 0.167
O 0.382 0.831 0.648
O 0.457 0.186 0.530
O 0.500 0.500 0.250
O 0.500 0.500 0.750
O 0.543 0.814 0.470
O 0.618 0.169 0.352
O 0.649 0.946 0.833
O 0.811 0.894 0.414
O 0.814 0.543 0.970
O 0.831 0.382 0.148
O 0.894 0.811 0.914
O 0.946 0.649 0.333

Copy entry 8 word for word.
The following is a simulated PXRD pattern of K4H6C2O9. It was derived from DFT lattice parameters and positions (GGA-PBE), using a wavelength of 1.5418 Å.

The 10 most intense peaks (15 to 90 degrees two-theta), by intensity:
| d_spacing | 2theta | I/Imax |
| --- | --- | --- |
| 2.778 | 32.22 | 1000 |
| 2.792 | 32.06 | 803 |
| 2.831 | 31.61 | 747 |
| 2.216 | 40.71 | 362 |
| 3.027 | 29.51 | 323 |
| 3.467 | 25.70 | 301 |
| 2.286 | 39.42 | 291 |
| 3.040 | 29.38 | 225 |
| 2.351 | 38.29 | 216 |
| 2.193 | 41.17 | 173 |

Structure:
abc: 9.211 9.211 7.217
angles: 109.62 109.62 97.66
Positions (direct):
K 0.117 0.883 0.750
K 0.185 0.815 0.250
K 0.207 0.505 0.460
K 0.495 0.793 0.040
K 0.505 0.207 0.960
K 0.793 0.495 0.540
K 0.815 0.185 0.750
K 0.883 0.117 0.250
H 0.141 0.280 0.049
H 0.146 0.200 0.631
H 0.200 0.146 0.131
H 0.280 0.141 0.549
H 0.385 0.477 0.155
H 0.477 0.385 0.655
H 0.523 0.615 0.345
H 0.615 0.523 0.845
H 0.720 0.859 0.451
H 0.800 0.854 0.869
H 0.854 0.800 0.369
H 0.859 0.720 0.951
C 0.137 0.476 0.850
C 0.476 0.137 0.350
C 0.524 0.863 0.650
C 0.863 0.524 0.150
O 0.054 0.351 0.667
O 0.106 0.189 0.086
O 0.169 0.618 0.852
O 0.186 0.457 0.030
O 0.189 0.106 0.586
O 0.351 0.054 0.167
O 0.382 0.831 0.648
O 0.457 0.186 0.530
O 0.500 0.500 0.250
O 0.500 0.500 0.750
O 0.543 0.814 0.470
O 0.618 0.169 0.352
O 0.649 0.946 0.833
O 0.811 0.894 0.414
O 0.814 0.543 0.970
O 0.831 0.382 0.148
O 0.894 0.811 0.914
O 0.946 0.649 0.333